No. 1
Structure and computed powder XRD pattern of Ho3C2I2 (a structure optimized by DFT (GGA-PBE); λ = 1.5418 Å (Cu Kα)).
Lines closer than 0.1° are merged.

Atomic structure:
```
Ho3C2I2
1.0
3.6476 0.0000 0.0000
-1.6179 6.0526 0.0000
-0.1175 -1.2560 7.9719
Ho C I
3 2 2
Direct
0.0000 0.0000 0.0000 Ho
0.2180 0.4546 0.8161 Ho
0.7820 0.5454 0.1839 Ho
0.3675 0.7279 0.0561 C
0.6325 0.2721 0.9439 C
0.1449 0.2364 0.3734 I
0.8551 0.7636 0.6266 I
```

The 8 most intense peaks (2θ from 10° to 90°), by angle:
2theta	I (rel.)
25.31	37
25.78	40
28.79	100
30.25	68
33.42	55
34.65	54
34.74	53
34.95	64

No. 2
Structure and computed powder XRD pattern of Ac2MoN5 (a structure optimized by DFT (GGA-PBE); λ = 1.5418 Å (Cu Kα)).
Lines closer than 0.1° are merged.

Atomic structure:
```
Ac2MoN5
1.0
2.1206 -6.3790 0.0000
2.1206 6.3790 0.0000
0.0000 0.0000 11.3104
Ac Mo N
4 2 10
Direct
0.1436 0.8564 0.5762 Ac
0.1436 0.8564 0.9238 Ac
0.8564 0.1436 0.0762 Ac
0.8564 0.1436 0.4238 Ac
0.1547 0.8453 0.2500 Mo
0.8453 0.1547 0.7500 Mo
0.0564 0.9436 0.1294 N
0.0564 0.9436 0.3706 N
0.2696 0.7304 0.1019 N
0.2696 0.7304 0.3981 N
0.3048 0.6952 0.7500 N
0.6952 0.3048 0.2500 N
0.7304 0.2696 0.6019 N
0.7304 0.2696 0.8981 N
0.9436 0.0564 0.6294 N
0.9436 0.0564 0.8706 N
```

The 8 most intense peaks (2θ from 10° to 90°), by angle:
2theta	I (rel.)
13.88	23
22.09	77
27.48	100
27.97	33
29.75	64
32.54	69
48.11	51
51.48	36

No. 3
Structure and computed powder XRD pattern of TeO (a structure optimized by DFT (GGA-PBE); λ = 1.5418 Å (Cu Kα)).
Lines closer than 0.1° are merged.

Atomic structure:
```
TeO
1.0
3.1779 0.0000 0.0000
0.0000 4.0312 0.0000
-0.0186 0.0000 3.1824
Te O
1 1
Direct
0.0000 0.0000 0.0000 Te
0.0546 0.5000 0.0646 O
```

The 8 most intense peaks (2θ from 10° to 90°), by angle:
2theta	I (rel.)
22.05	52
28.06	100
35.97	62
39.98	19
40.22	18
46.12	15
46.34	16
53.85	31

No. 4
Structure and computed powder XRD pattern of Rb2BeF4 (a structure optimized by DFT (GGA-PBE); λ = 1.5418 Å (Cu Kα)).
Lines closer than 0.1° are merged.

Atomic structure:
```
Rb2BeF4
1.0
9.7463 0.0000 0.0000
0.0000 5.9014 0.0000
0.0000 0.0000 9.5779
Rb Be F
8 4 16
Direct
0.0059 0.2133 0.0000 Rb
0.2298 0.6586 0.8328 Rb
0.2702 0.1586 0.3328 Rb
0.4941 0.7133 0.5000 Rb
0.5059 0.2867 0.0000 Rb
0.7298 0.8414 0.8328 Rb
0.7702 0.3414 0.3328 Rb
0.9941 0.7867 0.5000 Rb
0.1640 0.6201 0.2069 Be
0.3360 0.1201 0.7069 Be
0.6640 0.8799 0.2069 Be
0.8360 0.3799 0.7069 Be
0.0348 0.4707 0.2536 F
0.1200 0.8489 0.1407 F
0.2481 0.4709 0.1011 F
0.2499 0.1619 0.8428 F
0.2501 0.6619 0.3428 F
0.2519 0.9709 0.6011 F
0.3800 0.3489 0.6407 F
0.4652 0.9707 0.7536 F
0.5348 0.0293 0.2536 F
0.6200 0.6511 0.1407 F
0.7481 0.0291 0.1011 F
0.7499 0.3381 0.8428 F
0.7501 0.8381 0.3428 F
0.7519 0.5291 0.6011 F
0.8800 0.1511 0.6407 F
0.9652 0.5293 0.7536 F
```

The 8 most intense peaks (2θ from 10° to 90°), by angle:
2theta	I (rel.)
17.65	33
25.46	100
26.09	64
31.87	52
36.93	63
40.39	38
42.04	37
53.70	22

No. 5
Structure and computed powder XRD pattern of Tb2Pr12Th (a structure optimized by DFT (GGA-PBE); λ = 1.5418 Å (Cu Kα)).
Lines closer than 0.1° are merged.

Atomic structure:
```
Tb2Pr12Th
1.0
3.6176 -5.8929 0.0000
3.6176 5.8929 0.0000
0.0000 0.0000 25.3280
Tb Pr Th
4 24 2
Direct
0.2500 0.7500 0.2330 Tb
0.2500 0.7500 0.7714 Tb
0.7500 0.2500 0.2286 Tb
0.7500 0.2500 0.7670 Tb
0.0015 0.5015 0.6261 Pr
0.0021 0.9979 0.4268 Pr
0.0197 0.5197 0.0852 Pr
0.0253 0.9747 0.9402 Pr
0.2500 0.2500 0.1754 Pr
0.2500 0.2500 0.3003 Pr
0.2500 0.2500 0.6997 Pr
0.2500 0.2500 0.8246 Pr
0.4747 0.5253 0.9402 Pr
0.4803 0.9803 0.0852 Pr
0.4979 0.5021 0.4268 Pr
0.4985 0.9985 0.6261 Pr
0.5015 0.0015 0.3739 Pr
0.5021 0.4979 0.5732 Pr
0.5197 0.0197 0.9148 Pr
0.5253 0.4747 0.0598 Pr
0.7500 0.7500 0.1754 Pr
0.7500 0.7500 0.3003 Pr
0.7500 0.7500 0.6997 Pr
0.7500 0.7500 0.8246 Pr
0.9747 0.0253 0.0598 Pr
0.9803 0.4803 0.9148 Pr
0.9979 0.0021 0.5732 Pr
0.9985 0.4985 0.3739 Pr
0.2500 0.7500 0.5011 Th
0.7500 0.2500 0.4989 Th
```

The 8 most intense peaks (2θ from 10° to 90°), by angle:
2theta	I (rel.)
28.41	38
28.96	69
29.83	82
30.34	100
30.88	32
32.09	85
32.30	69
36.08	57

No. 6
Structure and computed powder XRD pattern of Na2TlAu (a structure optimized by DFT (GGA-PBE); λ = 1.5418 Å (Cu Kα)).
Lines closer than 0.1° are merged.

Atomic structure:
```
Na2TlAu
1.0
5.0583 0.0000 0.0000
-2.5291 4.3806 0.0000
0.0000 0.0000 9.3666
Na Tl Au
4 2 2
Direct
0.3333 0.6667 0.0780 Na
0.3333 0.6667 0.4209 Na
0.6667 0.3333 0.5791 Na
0.6667 0.3333 0.9220 Na
0.0000 0.0000 0.2489 Tl
0.0000 0.0000 0.7511 Tl
0.3333 0.6667 0.7500 Au
0.6667 0.3333 0.2500 Au
```

The 8 most intense peaks (2θ from 10° to 90°), by angle:
2theta	I (rel.)
18.95	100
22.41	68
27.89	23
35.30	44
35.49	94
40.54	91
53.32	43
70.95	25

No. 7
Structure and computed powder XRD pattern of Sm2ReRu3 (a structure optimized by DFT (GGA-PBE); λ = 1.5418 Å (Cu Kα)).
Lines closer than 0.1° are merged.

Atomic structure:
```
Sm2ReRu3
1.0
5.5996 0.0000 0.0000
-2.7998 4.8494 0.0000
0.0000 0.0000 8.2300
Sm Re Ru
4 2 6
Direct
0.3333 0.6667 0.0614 Sm
0.3333 0.6667 0.4386 Sm
0.6667 0.3333 0.5614 Sm
0.6667 0.3333 0.9386 Sm
0.0000 0.0000 0.0000 Re
0.0000 0.0000 0.5000 Re
0.1688 0.3375 0.7500 Ru
0.1688 0.8312 0.7500 Ru
0.3375 0.1688 0.2500 Ru
0.6625 0.8312 0.7500 Ru
0.8312 0.1688 0.2500 Ru
0.8312 0.6625 0.2500 Ru
```

The 8 most intense peaks (2θ from 10° to 90°), by angle:
2theta	I (rel.)
31.97	49
37.67	47
38.71	54
38.91	100
60.77	22
61.65	26
66.83	25
68.95	19

No. 8
Structure and computed powder XRD pattern of Na3Hg4 (a structure optimized by DFT (GGA-PBE); λ = 1.5418 Å (Cu Kα)).
Lines closer than 0.1° are merged.

Atomic structure:
```
Na3Hg4
1.0
3.7114 0.0000 0.0000
0.0000 4.1805 0.0000
0.0000 0.0000 23.3569
Na Hg
6 8
Direct
0.0000 0.0000 0.0000 Na
0.0000 0.0000 0.1463 Na
0.0000 0.0000 0.8537 Na
0.5000 0.5000 0.3537 Na
0.5000 0.5000 0.5000 Na
0.5000 0.5000 0.6463 Na
0.0000 0.0000 0.2870 Hg
0.0000 0.0000 0.4280 Hg
0.0000 0.0000 0.5720 Hg
0.0000 0.0000 0.7130 Hg
0.5000 0.5000 0.0720 Hg
0.5000 0.5000 0.2130 Hg
0.5000 0.5000 0.7870 Hg
0.5000 0.5000 0.9280 Hg
```

The 8 most intense peaks (2θ from 10° to 90°), by angle:
2theta	I (rel.)
21.60	55
24.28	41
32.25	100
34.39	84
36.20	74
57.66	39
61.31	32
65.25	26

Copy entry 8 word for word.
Structure and computed powder XRD pattern of Na3Hg4 (a structure optimized by DFT (GGA-PBE); λ = 1.5418 Å (Cu Kα)).
Lines closer than 0.1° are merged.

Atomic structure:
```
Na3Hg4
1.0
3.7114 0.0000 0.0000
0.0000 4.1805 0.0000
0.0000 0.0000 23.3569
Na Hg
6 8
Direct
0.0000 0.0000 0.0000 Na
0.0000 0.0000 0.1463 Na
0.0000 0.0000 0.8537 Na
0.5000 0.5000 0.3537 Na
0.5000 0.5000 0.5000 Na
0.5000 0.5000 0.6463 Na
0.0000 0.0000 0.2870 Hg
0.0000 0.0000 0.4280 Hg
0.0000 0.0000 0.5720 Hg
0.0000 0.0000 0.7130 Hg
0.5000 0.5000 0.0720 Hg
0.5000 0.5000 0.2130 Hg
0.5000 0.5000 0.7870 Hg
0.5000 0.5000 0.9280 Hg
```

The 8 most intense peaks (2θ from 10° to 90°), by angle:
2theta	I (rel.)
21.60	55
24.28	41
32.25	100
34.39	84
36.20	74
57.66	39
61.31	32
65.25	26

Please write out number 5 again, unchanged.
Structure and computed powder XRD pattern of Tb2Pr12Th (a structure optimized by DFT (GGA-PBE); λ = 1.5418 Å (Cu Kα)).
Lines closer than 0.1° are merged.

Atomic structure:
```
Tb2Pr12Th
1.0
3.6176 -5.8929 0.0000
3.6176 5.8929 0.0000
0.0000 0.0000 25.3280
Tb Pr Th
4 24 2
Direct
0.2500 0.7500 0.2330 Tb
0.2500 0.7500 0.7714 Tb
0.7500 0.2500 0.2286 Tb
0.7500 0.2500 0.7670 Tb
0.0015 0.5015 0.6261 Pr
0.0021 0.9979 0.4268 Pr
0.0197 0.5197 0.0852 Pr
0.0253 0.9747 0.9402 Pr
0.2500 0.2500 0.1754 Pr
0.2500 0.2500 0.3003 Pr
0.2500 0.2500 0.6997 Pr
0.2500 0.2500 0.8246 Pr
0.4747 0.5253 0.9402 Pr
0.4803 0.9803 0.0852 Pr
0.4979 0.5021 0.4268 Pr
0.4985 0.9985 0.6261 Pr
0.5015 0.0015 0.3739 Pr
0.5021 0.4979 0.5732 Pr
0.5197 0.0197 0.9148 Pr
0.5253 0.4747 0.0598 Pr
0.7500 0.7500 0.1754 Pr
0.7500 0.7500 0.3003 Pr
0.7500 0.7500 0.6997 Pr
0.7500 0.7500 0.8246 Pr
0.9747 0.0253 0.0598 Pr
0.9803 0.4803 0.9148 Pr
0.9979 0.0021 0.5732 Pr
0.9985 0.4985 0.3739 Pr
0.2500 0.7500 0.5011 Th
0.7500 0.2500 0.4989 Th
```

The 8 most intense peaks (2θ from 10° to 90°), by angle:
2theta	I (rel.)
28.41	38
28.96	69
29.83	82
30.34	100
30.88	32
32.09	85
32.30	69
36.08	57